This entry pairs a crystal structure of Pu3Ta with its computed X-ray powder pattern. Radiation: Cu Kα (weighted mean of Kα1 and Kα2). Structure: the GGA-PBE geometry in the Materials Project.
Kinematic intensities with the Lorentz-polarization factor, no thermal factor.

Top 7 peaks for 5° ≤ 2θ ≤ 70°, by angle:
two_theta	intensity	(hkl)
22.15	1	1 0 1
34.82	100	1 1 2
39.85	35	2 0 0
41.57	16	0 0 4
57.62	12	2 2 0
58.94	23	2 0 4
69.11	29	3 1 2

Atomic structure:
Cell: 4.525 4.525 8.691 Å, 90.00 90.00 90.00°
Element x y z (fractional)
Pu (0.000, 0.000, 0.000)
Pu (0.000, 0.500, 0.250)
Pu (0.000, 0.500, 0.750)
Pu (0.500, 0.000, 0.250)
Pu (0.500, 0.000, 0.750)
Pu (0.500, 0.500, 0.500)
Ta (0.000, 0.000, 0.500)
Ta (0.500, 0.500, 0.000)